Diffraction record for MgTi6H4O14. The powder diffractogram is simulated, not measured: it uses a PBE-relaxed structure and Cu Kα (λ = 1.5418 Å).
Peak positions follow from Bragg's law for the DFT cell and can differ from measured ones.

Unit cell a=3.830 b=8.337 c=9.629 alpha=101.75 beta=90.08 gamma=100.45
Element x y z (fractional)
Mg 0.000 0.000 0.000
Ti 0.480 0.950 0.780
Ti 0.527 0.063 0.500
Ti 0.562 0.159 0.221
Ti 0.862 0.661 0.834
Ti 0.899 0.745 0.530
Ti 0.944 0.856 0.246
H 0.057 0.401 0.892
H 0.689 0.404 0.072
H 0.706 0.303 0.794
H 0.734 0.502 0.241
O 0.042 0.108 0.202
O 0.385 0.705 0.840
O 0.429 0.821 0.570
O 0.471 0.924 0.282
O 0.526 0.065 0.984
O 0.565 0.145 0.701
O 0.596 0.243 0.420
O 0.645 0.390 0.170
O 0.813 0.412 0.873
O 0.835 0.586 0.629
O 0.863 0.667 0.336
O 0.910 0.771 0.057
O 0.963 0.903 0.787
O 0.998 0.991 0.478

The 12 most intense peaks (10° ≤ 2θ ≤ 80°), in order of rising 2θ:
2θ (°)	I_rel
11.03	100
15.93	15
23.64	11
24.19	17
27.99	8
28.43	10
30.64	8
34.99	13
42.17	16
45.34	8
47.54	13
48.35	6



Diffraction record for Ba8CaY2U4O24. The powder diffractogram is simulated, not measured: it uses a PBE-relaxed structure and Cu Kα (λ = 1.5418 Å).
Peak positions follow from Bragg's law for the DFT cell and can differ from measured ones.

Unit cell a=10.782 b=10.782 c=10.782 alpha=132.01 beta=132.01 gamma=70.22
Element x y z (fractional)
Ba 0.121 0.121 0.478
Ba 0.121 0.643 0.000
Ba 0.357 0.357 0.478
Ba 0.357 0.879 0.000
Ba 0.643 0.121 0.000
Ba 0.643 0.643 0.522
Ba 0.879 0.357 0.000
Ba 0.879 0.879 0.522
Ca 0.500 0.500 0.000
Y 0.250 0.750 0.500
Y 0.750 0.250 0.500
U 0.000 0.500 0.500
U 0.253 0.253 0.000
U 0.500 0.000 0.500
U 0.747 0.747 0.000
O 0.000 0.271 0.271
O 0.000 0.729 0.729
O 0.006 0.249 0.757
O 0.123 0.623 0.500
O 0.139 0.139 0.000
O 0.239 0.500 0.739
O 0.249 0.006 0.757
O 0.249 0.492 0.243
O 0.271 0.000 0.271
O 0.368 0.368 0.000
O 0.377 0.877 0.500
O 0.492 0.249 0.243
O 0.500 0.239 0.739
O 0.500 0.761 0.261
O 0.508 0.751 0.757
O 0.623 0.123 0.500
O 0.632 0.632 0.000
O 0.729 0.000 0.729
O 0.751 0.508 0.757
O 0.751 0.994 0.243
O 0.761 0.500 0.261
O 0.861 0.861 0.000
O 0.877 0.377 0.500
O 0.994 0.751 0.243

The 12 most intense peaks (10° ≤ 2θ ≤ 80°), in order of rising 2θ:
2θ (°)	I_rel
17.48	26
28.74	100
33.89	10
40.93	10
41.18	20
50.81	13
50.97	27
59.46	12
59.64	6
67.16	6
67.54	12
74.88	6



Diffraction record for SnHg2S2Br2. The powder diffractogram is simulated, not measured: it uses a PBE-relaxed structure and Cu Kα (λ = 1.5418 Å).
Peak positions follow from Bragg's law for the DFT cell and can differ from measured ones.

Unit cell a=10.510 b=10.277 c=11.971 alpha=90.00 beta=108.58 gamma=90.00
Element x y z (fractional)
Sn 0.162 0.129 0.015
Sn 0.162 0.371 0.515
Sn 0.838 0.629 0.485
Sn 0.838 0.871 0.985
Hg 0.316 0.067 0.691
Hg 0.316 0.433 0.191
Hg 0.463 0.160 0.396
Hg 0.463 0.340 0.896
Hg 0.537 0.660 0.104
Hg 0.537 0.840 0.604
Hg 0.684 0.567 0.809
Hg 0.684 0.933 0.309
S 0.264 0.210 0.826
S 0.264 0.290 0.326
S 0.328 0.551 0.026
S 0.328 0.949 0.526
S 0.672 0.051 0.474
S 0.672 0.449 0.974
S 0.736 0.710 0.674
S 0.736 0.790 0.174
Br 0.040 0.559 0.361
Br 0.040 0.941 0.861
Br 0.360 0.524 0.644
Br 0.360 0.976 0.144
Br 0.640 0.024 0.856
Br 0.640 0.476 0.356
Br 0.960 0.059 0.139
Br 0.960 0.441 0.639

The 12 most intense peaks (10° ≤ 2θ ≤ 80°), in order of rising 2θ:
2θ (°)	I_rel
12.37	79
16.09	100
17.59	32
21.45	36
23.15	25
26.43	37
27.82	77
28.36	51
29.32	24
32.11	34
35.42	31
41.34	38



Diffraction record for BaTm2Te4. The powder diffractogram is simulated, not measured: it uses a PBE-relaxed structure and Cu Kα (λ = 1.5418 Å).
Peak positions follow from Bragg's law for the DFT cell and can differ from measured ones.

Unit cell a=13.745 b=4.450 c=16.175 alpha=90.00 beta=90.00 gamma=90.00
Element x y z (fractional)
Ba 0.238 0.250 0.170
Ba 0.262 0.750 0.670
Ba 0.738 0.250 0.330
Ba 0.762 0.750 0.830
Tm 0.058 0.250 0.390
Tm 0.081 0.250 0.904
Tm 0.419 0.750 0.404
Tm 0.442 0.750 0.890
Tm 0.558 0.250 0.110
Tm 0.581 0.250 0.596
Tm 0.919 0.750 0.096
Tm 0.942 0.750 0.610
Te 0.028 0.750 0.784
Te 0.090 0.250 0.575
Te 0.126 0.750 0.028
Te 0.204 0.750 0.342
Te 0.296 0.250 0.842
Te 0.374 0.250 0.528
Te 0.410 0.750 0.075
Te 0.472 0.250 0.284
Te 0.528 0.750 0.716
Te 0.590 0.250 0.925
Te 0.626 0.750 0.472
Te 0.704 0.750 0.158
Te 0.796 0.250 0.658
Te 0.874 0.250 0.972
Te 0.910 0.750 0.425
Te 0.972 0.250 0.216

The 12 most intense peaks (10° ≤ 2θ ≤ 80°), in order of rising 2θ:
2θ (°)	I_rel
23.75	44
25.96	60
26.77	100
28.22	58
28.50	74
30.57	48
32.63	88
32.93	50
35.78	50
39.95	59
40.54	78
41.29	55



Diffraction record for Zr6GeI14. The powder diffractogram is simulated, not measured: it uses a PBE-relaxed structure and Cu Kα (λ = 1.5418 Å).
Peak positions follow from Bragg's law for the DFT cell and can differ from measured ones.

Unit cell a=10.965 b=10.965 c=13.257 alpha=90.00 beta=90.00 gamma=84.06
Element x y z (fractional)
Zr 0.047 0.182 0.884
Zr 0.145 0.855 0.894
Zr 0.182 0.047 0.116
Zr 0.318 0.453 0.616
Zr 0.355 0.645 0.394
Zr 0.453 0.318 0.384
Zr 0.547 0.682 0.616
Zr 0.645 0.355 0.606
Zr 0.682 0.547 0.384
Zr 0.818 0.953 0.884
Zr 0.855 0.145 0.106
Zr 0.953 0.818 0.116
Ge 0.000 0.000 0.000
Ge 0.500 0.500 0.500
I 0.036 0.216 0.248
I 0.098 0.402 0.750
I 0.117 0.634 0.009
I 0.134 0.617 0.509
I 0.153 0.847 0.265
I 0.216 0.036 0.752
I 0.249 0.249 0.500
I 0.251 0.251 0.000
I 0.284 0.464 0.252
I 0.347 0.653 0.765
I 0.366 0.883 0.009
I 0.383 0.866 0.509
I 0.402 0.098 0.250
I 0.464 0.284 0.748
I 0.536 0.716 0.252
I 0.598 0.902 0.750
I 0.617 0.134 0.491
I 0.634 0.117 0.991
I 0.653 0.347 0.235
I 0.716 0.536 0.748
I 0.749 0.749 0.000
I 0.751 0.751 0.500
I 0.784 0.964 0.248
I 0.847 0.153 0.735
I 0.866 0.383 0.491
I 0.883 0.366 0.991
I 0.902 0.598 0.250
I 0.964 0.784 0.752

The 12 most intense peaks (10° ≤ 2θ ≤ 80°), in order of rising 2θ:
2θ (°)	I_rel
10.50	100
25.91	38
26.90	34
27.78	84
28.45	99
31.68	33
32.29	90
42.51	27
43.13	54
44.50	30
48.05	27
53.27	27



Diffraction record for HoErO3. The powder diffractogram is simulated, not measured: it uses a PBE-relaxed structure and Cu Kα (λ = 1.5418 Å).
Peak positions follow from Bragg's law for the DFT cell and can differ from measured ones.

Unit cell a=6.379 b=6.379 c=12.675 alpha=90.00 beta=90.00 gamma=120.00
Element x y z (fractional)
Ho 0.000 0.000 0.000
Ho 0.000 0.000 0.500
Ho 0.333 0.667 0.468
Ho 0.333 0.667 0.968
Ho 0.667 0.333 0.468
Ho 0.667 0.333 0.968
Er 0.000 0.333 0.232
Er 0.000 0.667 0.732
Er 0.333 0.000 0.232
Er 0.333 0.333 0.732
Er 0.667 0.000 0.732
Er 0.667 0.667 0.232
O 0.000 0.000 0.196
O 0.000 0.000 0.696
O 0.000 0.305 0.406
O 0.000 0.365 0.060
O 0.000 0.635 0.560
O 0.000 0.695 0.906
O 0.305 0.000 0.406
O 0.305 0.305 0.906
O 0.333 0.667 0.258
O 0.333 0.667 0.758
O 0.365 0.000 0.060
O 0.365 0.365 0.560
O 0.635 0.000 0.560
O 0.635 0.635 0.060
O 0.667 0.333 0.258
O 0.667 0.333 0.758
O 0.695 0.000 0.906
O 0.695 0.695 0.406

The 12 most intense peaks (10° ≤ 2θ ≤ 80°), in order of rising 2θ:
2θ (°)	I_rel
27.98	9
28.16	47
28.87	65
31.40	100
35.26	21
45.72	20
49.50	41
51.92	27
57.92	38
58.29	13
59.80	17
79.90	18



Diffraction record for BaCuO2. The powder diffractogram is simulated, not measured: it uses a PBE-relaxed structure and Cu Kα (λ = 1.5418 Å).
Peak positions follow from Bragg's law for the DFT cell and can differ from measured ones.

Unit cell a=4.021 b=16.646 c=4.096 alpha=90.00 beta=90.00 gamma=90.00
Element x y z (fractional)
Ba 0.000 0.164 0.250
Ba 0.000 0.836 0.750
Ba 0.500 0.336 0.750
Ba 0.500 0.664 0.250
Cu 0.000 0.438 0.250
Cu 0.000 0.562 0.750
Cu 0.500 0.062 0.750
Cu 0.500 0.938 0.250
O 0.000 0.324 0.250
O 0.000 0.448 0.750
O 0.000 0.552 0.250
O 0.000 0.676 0.750
O 0.500 0.052 0.250
O 0.500 0.176 0.750
O 0.500 0.824 0.250
O 0.500 0.948 0.750

The 12 most intense peaks (10° ≤ 2θ ≤ 80°), in order of rising 2θ:
2θ (°)	I_rel
21.35	16
24.22	18
27.39	76
30.63	52
31.64	100
44.24	44
45.10	22
49.80	23
52.81	24
55.50	20
64.38	18
70.33	15



Diffraction record for Ge3Pt. The powder diffractogram is simulated, not measured: it uses a PBE-relaxed structure and Cu Kα (λ = 1.5418 Å).
Peak positions follow from Bragg's law for the DFT cell and can differ from measured ones.

Unit cell a=6.788 b=6.788 c=3.883 alpha=90.00 beta=90.00 gamma=120.00
Element x y z (fractional)
Ge 0.183 0.366 0.250
Ge 0.183 0.817 0.250
Ge 0.366 0.183 0.750
Ge 0.634 0.817 0.250
Ge 0.817 0.183 0.750
Ge 0.817 0.634 0.750
Pt 0.333 0.667 0.750
Pt 0.667 0.333 0.250

The 12 most intense peaks (10° ≤ 2θ ≤ 80°), in order of rising 2θ:
2θ (°)	I_rel
15.07	27
26.26	16
27.53	13
30.41	31
38.41	100
46.79	13
47.12	16
54.04	23
56.83	11
61.70	5
68.23	16
74.22	18